Record 1
HfSc3As4: calculated powder diffractogram (Cu Kα, 1.54184 Å), based on the PBE geometry in Alexandria.
Kinematic intensities with the Lorentz-polarization factor, no thermal factor.

Peak list (10 most intense, 2θ = 10–90°, by intensity)
d = 2.730 Å, 2θ 32.80, rel. 100
d = 1.931 Å, 2θ 47.07, rel. 71
d = 1.576 Å, 2θ 58.56, rel. 24
d = 6.305 Å, 2θ 14.05, rel. 22
d = 1.222 Å, 2θ 78.26, rel. 21
d = 1.115 Å, 2θ 87.49, rel. 16
d = 3.293 Å, 2θ 27.08, rel. 14
d = 1.220 Å, 2θ 78.40, rel. 10
d = 1.114 Å, 2θ 87.60, rel. 8
d = 5.453 Å, 2θ 16.26, rel. 8

```
HfSc3As4
1.0
3.8639 -5.4528 0.0000
3.8639 5.4528 0.0000
0.0000 0.0000 3.8635
Hf Sc As
1 3 4
Cartesian
0.0000 0.0000 0.0000 Hf
1.9319 2.7264 1.9317 Sc
1.9319 -2.7264 1.9317 Sc
3.8639 0.0000 0.0000 Sc
1.9229 0.0000 1.9317 As
3.8639 2.7349 0.0000 As
3.8639 -2.7349 0.0000 As
5.8049 0.0000 1.9317 As
```

***

Record 2
Hf4AsSe: calculated powder diffractogram (Cu Kα, 1.54184 Å), based on the PBE geometry in Alexandria.
Kinematic intensities with the Lorentz-polarization factor, no thermal factor.

Peak list (10 most intense, 2θ = 10–90°, by intensity)
d = 2.811 Å, 2θ 31.84, rel. 100
d = 3.051 Å, 2θ 29.27, rel. 29
d = 1.783 Å, 2θ 51.24, rel. 28
d = 2.729 Å, 2θ 32.82, rel. 27
d = 2.157 Å, 2θ 41.87, rel. 25
d = 1.711 Å, 2θ 53.55, rel. 24
d = 2.197 Å, 2θ 41.08, rel. 24
d = 4.315 Å, 2θ 20.58, rel. 15
d = 1.852 Å, 2θ 49.20, rel. 13
d = 1.405 Å, 2θ 66.54, rel. 13

```
Hf4AsSe
1.0
-4.3148 4.3148 3.7042
4.3148 -4.3148 3.7042
4.3148 4.3148 -3.7042
Hf As Se
8 2 2
Cartesian
4.3148 1.7843 -0.0020 Hf
2.5305 4.3148 -1.8541 Hf
1.7843 0.0000 1.8501 Hf
0.0000 2.5294 0.0000 Hf
0.0000 6.1001 0.0000 Hf
2.5294 4.3148 1.8521 Hf
1.7854 0.0000 5.5563 Hf
0.0000 2.5305 3.7022 Hf
0.0000 0.0000 0.0018 As
0.0000 4.3148 1.8539 As
4.3148 0.0000 1.8488 Se
0.0000 0.0000 3.7009 Se
```

***

Record 3
SrHf3As: calculated powder diffractogram (Cu Kα, 1.54184 Å), based on the PBE geometry in Alexandria.
Kinematic intensities with the Lorentz-polarization factor, no thermal factor.

Peak list (10 most intense, 2θ = 10–90°, by intensity)
d = 2.964 Å, 2θ 30.15, rel. 100
d = 2.567 Å, 2θ 34.95, rel. 84
d = 1.815 Å, 2θ 50.26, rel. 61
d = 1.548 Å, 2θ 59.73, rel. 44
d = 1.148 Å, 2θ 84.36, rel. 28
d = 5.134 Å, 2θ 17.27, rel. 27
d = 1.482 Å, 2θ 62.68, rel. 21
d = 1.178 Å, 2θ 81.76, rel. 18
d = 2.296 Å, 2θ 39.24, rel. 14
d = 1.284 Å, 2θ 73.82, rel. 10

```
SrHf3As
1.0
5.1344 0.0000 0.0000
0.0000 5.1344 0.0000
0.0000 0.0000 5.1344
Sr Hf As
1 3 1
Cartesian
0.0000 0.0000 0.0000 Sr
0.0000 2.5672 2.5672 Hf
2.5672 0.0000 2.5672 Hf
2.5672 2.5672 0.0000 Hf
2.5672 2.5672 2.5672 As
```

***

Record 4
Tb5Hf3As8: calculated powder diffractogram (Cu Kα, 1.54184 Å), based on the PBE geometry in Alexandria.
Kinematic intensities with the Lorentz-polarization factor, no thermal factor.

Peak list (10 most intense, 2θ = 10–90°, by intensity)
d = 2.836 Å, 2θ 31.54, rel. 100
d = 2.002 Å, 2θ 45.31, rel. 37
d = 2.009 Å, 2θ 45.12, rel. 37
d = 1.635 Å, 2θ 56.25, rel. 19
d = 3.271 Å, 2θ 27.27, rel. 19
d = 1.266 Å, 2θ 75.00, rel. 16
d = 1.270 Å, 2θ 74.72, rel. 16
d = 1.157 Å, 2θ 83.56, rel. 12
d = 1.418 Å, 2θ 65.86, rel. 12
d = 1.709 Å, 2θ 53.63, rel. 9

```
Tb5Hf3As8
1.0
4.0032 2.3112 6.5758
-4.0032 2.3112 6.5758
0.0000 -4.6224 6.5758
Tb Hf As
5 3 8
Cartesian
0.0000 0.0000 0.0000 Tb
-2.0016 -1.1556 6.5758 Tb
-2.0016 1.1556 13.1516 Tb
0.0000 2.3112 6.5758 Tb
0.0000 0.0000 9.8637 Tb
-4.0031 0.0000 9.8637 Hf
-2.0016 1.1556 3.2879 Hf
2.0016 1.1556 3.2879 Hf
-2.0548 -1.1864 11.4206 As
0.0000 0.0000 4.8081 As
0.0000 -2.3727 8.3067 As
-2.0548 1.1864 8.3067 As
2.0548 -1.1863 11.4206 As
0.0000 2.3727 11.4206 As
0.0000 0.0000 14.9193 As
2.0548 1.1864 8.3067 As
```

***

Record 5
HfTi3As2: calculated powder diffractogram (Cu Kα, 1.54184 Å), based on the PBE geometry in Alexandria.
Kinematic intensities with the Lorentz-polarization factor, no thermal factor.

Peak list (10 most intense, 2θ = 10–90°, by intensity)
d = 2.599 Å, 2θ 34.51, rel. 100
d = 7.382 Å, 2θ 11.99, rel. 88
d = 2.347 Å, 2θ 38.35, rel. 88
d = 2.436 Å, 2θ 36.90, rel. 67
d = 6.805 Å, 2θ 13.01, rel. 53
d = 2.660 Å, 2θ 33.69, rel. 48
d = 2.207 Å, 2θ 40.88, rel. 47
d = 1.771 Å, 2θ 51.61, rel. 37
d = 2.391 Å, 2θ 37.63, rel. 37
d = 2.110 Å, 2θ 42.86, rel. 35

```
HfTi3As2
1.0
7.8516 -1.7709 0.0000
7.8516 1.7709 0.0000
-3.6024 0.0000 7.3817
Hf Ti As
2 6 4
Cartesian
1.3449 0.0000 0.8902 Hf
10.7559 0.0000 6.4916 Hf
-1.5632 0.0000 4.8383 Ti
4.5908 0.0000 0.7673 Ti
3.4882 0.0000 3.8812 Ti
8.6126 0.0000 3.5005 Ti
7.5100 0.0000 6.6144 Ti
13.6640 0.0000 2.5434 Ti
1.1361 0.0000 5.3768 As
7.1239 0.0000 1.2626 As
4.9769 0.0000 6.1191 As
10.9647 0.0000 2.0049 As
```

***

Record 6
Hf3TiAs2: calculated powder diffractogram (Cu Kα, 1.54184 Å), based on the PBE geometry in Alexandria.
Kinematic intensities with the Lorentz-polarization factor, no thermal factor.

Peak list (10 most intense, 2θ = 10–90°, by intensity)
d = 2.374 Å, 2θ 37.90, rel. 100
d = 2.250 Å, 2θ 40.08, rel. 61
d = 3.399 Å, 2θ 26.22, rel. 47
d = 3.060 Å, 2θ 29.18, rel. 43
d = 1.825 Å, 2θ 49.98, rel. 22
d = 2.166 Å, 2θ 41.71, rel. 20
d = 3.317 Å, 2θ 26.88, rel. 20
d = 1.234 Å, 2θ 77.35, rel. 18
d = 3.627 Å, 2θ 24.55, rel. 17
d = 1.502 Å, 2θ 61.77, rel. 15

```
Hf3TiAs2
1.0
-3.0588 6.1327 3.3170
3.0588 -6.1327 3.3170
3.0588 6.1327 -3.3170
Hf Ti As
6 2 4
Cartesian
3.0588 -2.4618 1.6585 Hf
0.0000 0.0000 1.6585 Hf
3.0588 2.4618 1.6585 Hf
0.0000 3.6709 1.6585 Hf
0.0000 0.0000 4.9755 Hf
0.0000 8.5945 1.6585 Hf
3.0588 0.0000 0.0000 Ti
0.0000 6.1327 0.0000 Ti
1.0671 1.8110 0.0000 As
1.0671 -1.8110 3.3170 As
1.9917 7.9437 0.0000 As
1.9917 4.3217 3.3170 As
```

***

Record 7
TmHfAs2: calculated powder diffractogram (Cu Kα, 1.54184 Å), based on the PBE geometry in Alexandria.
Kinematic intensities with the Lorentz-polarization factor, no thermal factor.

Peak list (10 most intense, 2θ = 10–90°, by intensity)
d = 2.782 Å, 2θ 32.17, rel. 100
d = 1.976 Å, 2θ 45.93, rel. 37
d = 1.959 Å, 2θ 46.35, rel. 36
d = 3.204 Å, 2θ 27.85, rel. 21
d = 1.602 Å, 2θ 57.54, rel. 19
d = 1.240 Å, 2θ 76.88, rel. 16
d = 1.249 Å, 2θ 76.26, rel. 16
d = 1.134 Å, 2θ 85.64, rel. 13
d = 1.391 Å, 2θ 67.31, rel. 12
d = 3.241 Å, 2θ 27.53, rel. 7

```
TmHfAs2
1.0
1.9590 1.1310 6.4811
-1.9590 1.1310 6.4811
0.0000 -2.2620 6.4811
Tm Hf As
1 1 2
Cartesian
0.0000 0.0000 0.0000 Tm
0.0000 0.0000 9.7216 Hf
0.0000 0.0000 4.7784 As
0.0000 0.0000 14.6648 As
```

***

Record 8
Hf3VAs: calculated powder diffractogram (Cu Kα, 1.54184 Å), based on the PBE geometry in Alexandria.
Kinematic intensities with the Lorentz-polarization factor, no thermal factor.

Peak list (10 most intense, 2θ = 10–90°, by intensity)
d = 2.845 Å, 2θ 31.45, rel. 100
d = 2.464 Å, 2θ 36.47, rel. 87
d = 1.742 Å, 2θ 52.53, rel. 61
d = 4.927 Å, 2θ 18.00, rel. 47
d = 1.486 Å, 2θ 62.52, rel. 42
d = 1.102 Å, 2θ 88.81, rel. 28
d = 2.204 Å, 2θ 40.96, rel. 24
d = 1.422 Å, 2θ 65.64, rel. 21
d = 1.130 Å, 2θ 86.00, rel. 18
d = 1.642 Å, 2θ 55.99, rel. 13

```
Hf3VAs
1.0
4.9273 0.0000 0.0000
0.0000 4.9273 0.0000
0.0000 0.0000 4.9273
Hf V As
3 1 1
Cartesian
0.0000 0.0000 2.4636 Hf
0.0000 2.4636 0.0000 Hf
2.4636 0.0000 0.0000 Hf
2.4636 2.4636 2.4636 V
0.0000 0.0000 0.0000 As
```

***

Record 9
Y5HfAs6: calculated powder diffractogram (Cu Kα, 1.54184 Å), based on the PBE geometry in Alexandria.
Kinematic intensities with the Lorentz-polarization factor, no thermal factor.

Peak list (10 most intense, 2θ = 10–90°, by intensity)
d = 2.875 Å, 2θ 31.11, rel. 100
d = 2.033 Å, 2θ 44.57, rel. 73
d = 1.286 Å, 2θ 73.69, rel. 26
d = 1.660 Å, 2θ 55.35, rel. 25
d = 1.174 Å, 2θ 82.09, rel. 17
d = 1.438 Å, 2θ 64.86, rel. 11
d = 1.173 Å, 2θ 82.18, rel. 6
d = 1.287 Å, 2θ 73.60, rel. 5
d = 3.320 Å, 2θ 26.85, rel. 5
d = 5.833 Å, 2θ 15.19, rel. 3

```
Y5HfAs6
1.0
3.5243 -6.0984 0.0000
3.5243 6.0984 0.0000
-2.3570 0.0000 6.6347
Y Hf As
5 1 6
Cartesian
0.0000 0.0000 0.0000 Y
2.3458 4.0786 3.3174 Y
3.5243 2.0719 0.0000 Y
3.5243 -2.0719 0.0000 Y
2.3458 -4.0786 3.3174 Y
2.3458 0.0000 3.3174 Hf
1.2136 1.9667 1.7099 As
0.0795 0.0000 4.9405 As
1.2136 -1.9667 1.7099 As
3.4780 1.9667 4.9248 As
4.6121 0.0000 1.6942 As
3.4780 -1.9667 4.9248 As
```

***

Record 10
Hf2ZrZnAs: calculated powder diffractogram (Cu Kα, 1.54184 Å), based on the PBE geometry in Alexandria.
Kinematic intensities with the Lorentz-polarization factor, no thermal factor.

Peak list (10 most intense, 2θ = 10–90°, by intensity)
d = 2.792 Å, 2θ 32.05, rel. 100
d = 2.493 Å, 2θ 36.03, rel. 64
d = 1.686 Å, 2θ 54.44, rel. 39
d = 1.490 Å, 2θ 62.29, rel. 30
d = 4.576 Å, 2θ 19.40, rel. 26
d = 2.288 Å, 2θ 39.38, rel. 25
d = 1.762 Å, 2θ 51.88, rel. 22
d = 1.396 Å, 2θ 67.03, rel. 20
d = 2.189 Å, 2θ 41.24, rel. 16
d = 1.400 Å, 2θ 66.83, rel. 12

```
Hf2ZrZnAs
1.0
4.9851 0.0000 0.0000
0.0000 4.9851 0.0000
0.0000 0.0000 4.5759
Hf Zr Zn As
2 1 1 1
Cartesian
0.0000 2.4925 0.0000 Hf
2.4925 0.0000 0.0000 Hf
0.0000 0.0000 2.2879 Zr
2.4925 2.4925 0.0000 Zn
2.4925 2.4925 2.2879 As
```

***

Record 11
HfZr2As3: calculated powder diffractogram (Cu Kα, 1.54184 Å), based on the PBE geometry in Alexandria.
Kinematic intensities with the Lorentz-polarization factor, no thermal factor.

Peak list (10 most intense, 2θ = 10–90°, by intensity)
d = 2.736 Å, 2θ 32.74, rel. 100
d = 1.929 Å, 2θ 47.11, rel. 89
d = 2.719 Å, 2θ 32.94, rel. 49
d = 1.222 Å, 2θ 78.23, rel. 24
d = 1.578 Å, 2θ 58.50, rel. 19
d = 1.575 Å, 2θ 58.62, rel. 18
d = 1.937 Å, 2θ 46.90, rel. 18
d = 1.218 Å, 2θ 78.57, rel. 16
d = 3.153 Å, 2θ 28.31, rel. 14
d = 1.117 Å, 2θ 87.31, rel. 12

```
HfZr2As3
1.0
-1.9371 2.7193 5.7951
1.9371 -2.7193 5.7951
1.9371 2.7193 -5.7951
Hf Zr As
1 2 3
Cartesian
0.0000 0.0000 0.0000 Hf
0.0000 0.0000 3.8121 Zr
0.0000 0.0000 7.7781 Zr
1.9371 0.0000 1.8858 As
0.0000 2.7193 0.0000 As
0.0000 2.7193 3.9093 As
```

***

Record 12
Hf3ZrAs4: calculated powder diffractogram (Cu Kα, 1.54184 Å), based on the PBE geometry in Alexandria.
Kinematic intensities with the Lorentz-polarization factor, no thermal factor.

Peak list (10 most intense, 2θ = 10–90°, by intensity)
d = 2.717 Å, 2θ 32.96, rel. 100
d = 1.921 Å, 2θ 47.32, rel. 48
d = 1.215 Å, 2θ 78.76, rel. 22
d = 1.572 Å, 2θ 58.74, rel. 13
d = 1.108 Å, 2θ 88.22, rel. 13
d = 1.566 Å, 2θ 58.99, rel. 12
d = 1.928 Å, 2θ 47.15, rel. 12
d = 1.916 Å, 2θ 47.44, rel. 12
d = 1.359 Å, 2θ 69.14, rel. 12
d = 3.144 Å, 2θ 28.39, rel. 11

```
Hf3ZrAs4
1.0
6.6625 0.0000 0.0000
0.0000 7.6653 0.0000
-2.1977 0.0000 6.2860
Hf Zr As
6 2 8
Cartesian
-0.5494 0.9379 1.5715 Hf
-1.6483 2.8580 4.7145 Hf
-0.5494 4.8074 1.5715 Hf
-1.6483 6.7274 4.7145 Hf
2.7818 2.8600 1.5715 Hf
1.6830 4.8053 4.7145 Hf
1.6830 0.9407 4.7145 Zr
2.7818 6.7246 1.5715 Zr
1.6429 0.9734 0.0031 As
0.5441 6.6919 3.1461 As
0.5616 2.8875 3.1302 As
-0.5373 4.7778 6.2732 As
5.0021 2.8875 0.0128 As
3.9033 4.7778 3.1558 As
3.9207 0.9734 3.1399 As
2.8219 6.6919 6.2829 As
```